This entry pairs a crystal structure of AlZn4O6 with its calculated powder diffractogram. Radiation: Cu Kα (λ = 1.5418 Å). Structure: the GGA-PBE geometry in Alexandria.
Intensities are scaled so that the largest is 100.

Structure:
Cell: 5.795 5.795 10.153 Å, 106.20 106.20 60.60°
Positions (direct):
Al 0.230 0.770 0.500
Al 0.770 0.230 0.000
Zn 0.014 0.832 0.749
Zn 0.157 0.379 0.243
Zn 0.340 0.792 0.090
Zn 0.379 0.157 0.743
Zn 0.647 0.850 0.433
Zn 0.792 0.340 0.590
Zn 0.832 0.014 0.249
Zn 0.850 0.647 0.933
O 0.014 0.487 0.754
O 0.016 0.080 0.442
O 0.034 0.601 0.419
O 0.080 0.016 0.942
O 0.088 0.665 0.129
O 0.285 0.848 0.681
O 0.487 0.014 0.254
O 0.550 0.589 0.457
O 0.589 0.550 0.957
O 0.601 0.034 0.919
O 0.665 0.088 0.629
O 0.848 0.285 0.181

Most intense lines, 2θ = 5–70°, by angle:
two_theta	Rel. int.
17.8	46
27.9	59
30.5	100
30.9	45
32.0	83
32.3	86
35.8	42
36.0	54
37.8	35
42.0	44
57.4	32
66.9	40